[1]
The following is a calculated X-ray diffraction stick pattern of NbPCl10. It was derived from the PBE geometry in OQMD, using a wavelength of 1.5418 Å.
Lines closer than 0.1° are merged.

Most intense lines, 15 to 90 degrees two-theta, by angle:
2θ/deg, Rel. int.
15.68, 58
18.08, 63
18.35, 100
18.72, 63
29.85, 42
32.33, 50
32.48, 50
32.61, 42

Crystal structure
a = 6.9806 Å, b = 7.2310 Å, c = 13.6276 Å
α = 90.53°, β = 90.92°, γ = 105.46°
Sites, in units of the cell vectors:
Nb1 0.0000 0.0000 0.0000
Nb2 0.0000 0.0000 0.5000
P1 0.3813 0.5911 0.2616
P2 0.6187 0.4089 0.7384
Cl1 0.1008 0.0075 0.1669
Cl2 0.1134 0.2787 0.6026
Cl3 0.1244 0.5212 0.1927
Cl4 0.1335 0.8166 0.6136
Cl5 0.2338 0.3020 0.9762
Cl6 0.2439 0.8367 0.9558
Cl7 0.3082 0.0816 0.4184
Cl8 0.3410 0.5855 0.4029
Cl9 0.4687 0.1533 0.7774
Cl10 0.4706 0.5931 0.7754
Cl11 0.5294 0.4069 0.2246
Cl12 0.5313 0.8467 0.2226
Cl13 0.6590 0.4145 0.5971
Cl14 0.6918 0.9184 0.5816
Cl15 0.7561 0.1633 0.0442
Cl16 0.7662 0.6980 0.0238
Cl17 0.8665 0.1834 0.3864
Cl18 0.8756 0.4788 0.8073
Cl19 0.8866 0.7213 0.3974
Cl20 0.8992 0.9925 0.8331

[2]
The following is a calculated X-ray diffraction stick pattern of Rb2Nb3Cl9. It was derived from the PBE geometry in OQMD, using a wavelength of 1.5418 Å.
Lines closer than 0.1° are merged.

Most intense lines, 15 to 90 degrees two-theta, by angle:
2θ/deg, Rel. int.
18.51, 46
24.34, 46
31.83, 53
32.75, 36
33.22, 100
37.70, 43
38.57, 44
42.25, 43

Crystal structure
a = 9.8727 Å, b = 9.8727 Å, c = 9.6970 Å
α = 103.70°, β = 103.70°, γ = 115.69°
Sites, in units of the cell vectors:
Rb1 0.0530 0.7362 0.6810
Rb2 0.2638 0.9470 0.3190
Rb3 0.7362 0.0530 0.6810
Rb4 0.9470 0.2638 0.3190
Nb1 0.2761 0.4521 0.8591
Nb2 0.3907 0.3907 0.1348
Nb3 0.4521 0.2761 0.8591
Nb4 0.5479 0.7239 0.1409
Nb5 0.6093 0.6093 0.8652
Nb6 0.7239 0.5479 0.1409
Cl1 0.0052 0.6083 0.3185
Cl2 0.1066 0.3158 0.9929
Cl3 0.1772 0.1772 0.6681
Cl4 0.2545 0.2545 0.2990
Cl5 0.2920 0.7080 0.0000
Cl6 0.3158 0.1066 0.9929
Cl7 0.3648 0.5737 0.6779
Cl8 0.3917 0.9948 0.6815
Cl9 0.4263 0.6352 0.3221
Cl10 0.5737 0.3648 0.6779
Cl11 0.6083 0.0052 0.3185
Cl12 0.6352 0.4263 0.3221
Cl13 0.6842 0.8934 0.0071
Cl14 0.7080 0.2920 0.0000
Cl15 0.7455 0.7455 0.7010
Cl16 0.8228 0.8228 0.3319
Cl17 0.8934 0.6842 0.0071
Cl18 0.9948 0.3917 0.6815

[3]
The following is a calculated X-ray diffraction stick pattern of TbNbS2Cl2. It was derived from the PBE geometry in OQMD, using a wavelength of 1.5418 Å.
Lines closer than 0.1° are merged.

Most intense lines, 15 to 90 degrees two-theta, by angle:
2θ/deg, Rel. int.
20.51, 81
26.86, 34
32.03, 52
33.37, 100
34.66, 46
45.91, 37
48.88, 65
82.82, 25

Crystal structure
a = 3.6576 Å, b = 5.1763 Å, c = 7.9070 Å
α = 90.00°, β = 90.00°, γ = 90.00°
Sites, in units of the cell vectors:
Tb1 0.0000 0.0000 0.0000
Nb1 0.5000 0.5000 0.2383
S1 0.0000 0.5000 0.0142
S2 0.5000 0.0000 0.2561
Cl1 0.0000 0.5000 0.4633
Cl2 0.5000 0.0000 0.7584

[4]
The following is a calculated X-ray diffraction stick pattern of Nb3Se5Cl7. It was derived from the PBE geometry in OQMD, using a wavelength of 1.5418 Å.
Lines closer than 0.1° are merged.

Most intense lines, 15 to 90 degrees two-theta, by angle:
2θ/deg, Rel. int.
17.84, 100
18.24, 50
18.56, 73
31.79, 96
34.68, 56
36.49, 67
36.98, 49
46.27, 48

Crystal structure
a = 7.8679 Å, b = 12.7690 Å, c = 8.3068 Å
α = 90.00°, β = 107.44°, γ = 90.00°
Sites, in units of the cell vectors:
Nb1 0.0242 0.1102 0.0597
Nb2 0.0242 0.3898 0.0597
Nb3 0.4032 0.2500 0.4784
Nb4 0.5968 0.7500 0.5216
Nb5 0.9758 0.6102 0.9403
Nb6 0.9758 0.8898 0.9403
Se1 0.1808 0.0258 0.8478
Se2 0.1808 0.4742 0.8478
Se3 0.2824 0.5308 0.1246
Se4 0.2824 0.9692 0.1246
Se5 0.4255 0.2500 0.7598
Se6 0.5745 0.7500 0.2402
Se7 0.7176 0.0308 0.8754
Se8 0.7176 0.4692 0.8754
Se9 0.8192 0.5258 0.1522
Se10 0.8192 0.9742 0.1522
Cl1 0.0542 0.7500 0.1797
Cl2 0.1502 0.1173 0.3960
Cl3 0.1502 0.3827 0.3960
Cl4 0.1693 0.7500 0.8537
Cl5 0.2863 0.2500 0.1260
Cl6 0.3986 0.6182 0.5408
Cl7 0.3986 0.8818 0.5408
Cl8 0.6014 0.1182 0.4592
Cl9 0.6014 0.3818 0.4592
Cl10 0.7137 0.7500 0.8740
Cl11 0.8307 0.2500 0.1463
Cl12 0.8498 0.6173 0.6040
Cl13 0.8498 0.8827 0.6040
Cl14 0.9458 0.2500 0.8203

[5]
The following is a calculated X-ray diffraction stick pattern of NbTeCl9. It was derived from the PBE geometry in OQMD, using a wavelength of 1.5418 Å.
Lines closer than 0.1° are merged.

Most intense lines, 15 to 90 degrees two-theta, by angle:
2θ/deg, Rel. int.
16.68, 71
16.92, 45
17.09, 100
18.39, 44
19.88, 40
32.05, 64
41.62, 41
41.72, 33

Crystal structure
a = 6.4373 Å, b = 9.3218 Å, c = 11.2891 Å
α = 73.81°, β = 73.88°, γ = 89.02°
Sites, in units of the cell vectors:
Nb1 0.0688 0.2573 0.2959
Nb2 0.9312 0.7427 0.7041
Te1 0.3670 0.3318 0.8356
Te2 0.6330 0.6682 0.1644
Cl1 0.0032 0.3027 0.0861
Cl2 0.0668 0.4915 0.7034
Cl3 0.1514 0.2506 0.4832
Cl4 0.1862 0.1132 0.8373
Cl5 0.2297 0.0397 0.2769
Cl6 0.2768 0.8521 0.6069
Cl7 0.3894 0.8018 0.0610
Cl8 0.4056 0.6377 0.3718
Cl9 0.4247 0.3955 0.1697
Cl10 0.5753 0.6045 0.8303
Cl11 0.5944 0.3623 0.6282
Cl12 0.6106 0.1982 0.9390
Cl13 0.7232 0.1479 0.3931
Cl14 0.7703 0.9603 0.7231
Cl15 0.8138 0.8868 0.1627
Cl16 0.8486 0.7494 0.5168
Cl17 0.9332 0.5085 0.2966
Cl18 0.9968 0.6973 0.9139

[6]
The following is a calculated X-ray diffraction stick pattern of NbTeCl9. It was derived from the PBE geometry in OQMD, using a wavelength of 1.5418 Å.
Lines closer than 0.1° are merged.

Most intense lines, 15 to 90 degrees two-theta, by angle:
2θ/deg, Rel. int.
15.73, 43
16.96, 100
19.00, 52
24.85, 48
25.91, 35
26.96, 40
31.27, 59
32.08, 51

Crystal structure
a = 11.3355 Å, b = 11.3355 Å, c = 19.5031 Å
α = 105.97°, β = 105.97°, γ = 32.47°
Sites, in units of the cell vectors:
Nb1 0.0596 0.6466 0.6238
Nb2 0.3534 0.9404 0.8762
Nb3 0.6466 0.0596 0.1238
Nb4 0.9404 0.3534 0.3762
Te1 0.2217 0.6164 0.8401
Te2 0.3836 0.7783 0.6599
Te3 0.6164 0.2217 0.3401
Te4 0.7783 0.3836 0.1599
Cl1 0.0016 0.9140 0.6409
Cl2 0.0134 0.8079 0.9397
Cl3 0.0860 0.9984 0.8591
Cl4 0.1132 0.2820 0.9371
Cl5 0.1345 0.1606 0.2635
Cl6 0.1433 0.3793 0.6278
Cl7 0.1606 0.1345 0.7635
Cl8 0.1921 0.9866 0.5603
Cl9 0.2465 0.4784 0.5249
Cl10 0.2820 0.1132 0.4371
Cl11 0.2832 0.3555 0.8252
Cl12 0.3555 0.2832 0.3252
Cl13 0.3793 0.1433 0.1278
Cl14 0.3869 0.5646 0.4065
Cl15 0.3988 0.4309 0.7051
Cl16 0.4309 0.3988 0.2051
Cl17 0.4354 0.6131 0.0935
Cl18 0.4784 0.2465 0.0249
Cl19 0.5216 0.7535 0.9751
Cl20 0.5646 0.3869 0.9065
Cl21 0.5691 0.6012 0.7949
Cl22 0.6012 0.5691 0.2949
Cl23 0.6131 0.4354 0.5935
Cl24 0.6207 0.8567 0.8722
Cl25 0.6445 0.7168 0.6748
Cl26 0.7168 0.6445 0.1748
Cl27 0.7180 0.8868 0.5629
Cl28 0.7535 0.5216 0.4751
Cl29 0.8079 0.0134 0.4397
Cl30 0.8394 0.8655 0.2365
Cl31 0.8567 0.6207 0.3722
Cl32 0.8655 0.8394 0.7365
Cl33 0.8868 0.7180 0.0629
Cl34 0.9140 0.0016 0.1409
Cl35 0.9866 0.1921 0.0603
Cl36 0.9984 0.0860 0.3591

[7]
The following is a calculated X-ray diffraction stick pattern of Nb3TeCl7. It was derived from the PBE geometry in OQMD, using a wavelength of 1.5418 Å.
Lines closer than 0.1° are merged.

Most intense lines, 15 to 90 degrees two-theta, by angle:
2θ/deg, Rel. int.
16.28, 35
20.25, 18
29.26, 14
32.91, 100
38.17, 17
41.16, 51
45.19, 25
52.75, 24

Crystal structure
a = 6.9413 Å, b = 6.9413 Å, c = 12.8276 Å
α = 90.00°, β = 90.00°, γ = 120.00°
Sites, in units of the cell vectors:
Nb1 0.0536 0.5268 0.2409
Nb2 0.4732 0.5268 0.2409
Nb3 0.4732 0.9464 0.2409
Nb4 0.5268 0.0536 0.7591
Nb5 0.5268 0.4732 0.7591
Nb6 0.9464 0.4732 0.7591
Te1 0.3333 0.6667 0.4080
Te2 0.6667 0.3333 0.5920
Cl1 0.1663 0.3327 0.6588
Cl2 0.1663 0.8337 0.6588
Cl3 0.1685 0.3371 0.1175
Cl4 0.1685 0.8315 0.1175
Cl5 0.3327 0.1663 0.3412
Cl6 0.3333 0.6667 0.8662
Cl7 0.3371 0.1685 0.8825
Cl8 0.6629 0.8315 0.1175
Cl9 0.6667 0.3333 0.1338
Cl10 0.6673 0.8337 0.6588
Cl11 0.8315 0.1685 0.8825
Cl12 0.8315 0.6629 0.8825
Cl13 0.8337 0.1663 0.3412
Cl14 0.8337 0.6673 0.3412

[8]
The following is a calculated X-ray diffraction stick pattern of Nd2Cl. It was derived from the PBE geometry in OQMD, using a wavelength of 1.5418 Å.
Lines closer than 0.1° are merged.

Most intense lines, 15 to 90 degrees two-theta, by angle:
2θ/deg, Rel. int.
16.53, 78
31.95, 100
33.41, 85
38.77, 33
42.41, 23
51.08, 35
55.99, 36
66.79, 34

Crystal structure
a = 6.5697 Å, b = 6.5697 Å, c = 6.5697 Å
α = 60.00°, β = 60.00°, γ = 60.00°
Sites, in units of the cell vectors:
Nd1 0.0000 0.0000 0.0000
Nd2 0.0000 0.0000 0.5000
Nd3 0.0000 0.5000 0.0000
Nd4 0.5000 0.0000 0.0000
Cl1 0.3750 0.3750 0.3750
Cl2 0.6250 0.6250 0.6250

[9]
The following is a calculated X-ray diffraction stick pattern of NdNpCl6. It was derived from the PBE geometry in OQMD, using a wavelength of 1.5418 Å.
Lines closer than 0.1° are merged.

Most intense lines, 15 to 90 degrees two-theta, by angle:
2θ/deg, Rel. int.
23.92, 63
25.03, 96
27.69, 23
34.89, 100
42.06, 37
42.75, 88
61.23, 24
66.99, 30

Crystal structure
a = 7.4413 Å, b = 7.4413 Å, c = 4.2667 Å
α = 90.00°, β = 90.00°, γ = 120.00°
Sites, in units of the cell vectors:
Nd1 0.0000 0.0000 0.0000
Np1 0.6667 0.3333 0.5000
Cl1 0.0292 0.7515 0.5000
Cl2 0.2485 0.2777 0.5000
Cl3 0.4203 0.0569 0.0000
Cl4 0.6366 0.5797 0.0000
Cl5 0.7223 0.9708 0.5000
Cl6 0.9431 0.3634 0.0000

[10]
The following is a calculated X-ray diffraction stick pattern of Nd4Cl4O3. It was derived from the PBE geometry in OQMD, using a wavelength of 1.5418 Å.
Lines closer than 0.1° are merged.

Most intense lines, 15 to 90 degrees two-theta, by angle:
2θ/deg, Rel. int.
25.80, 100
31.67, 79
34.41, 52
34.47, 49
41.39, 30
51.38, 22
58.15, 20
58.52, 21

Crystal structure
a = 3.9876 Å, b = 8.0056 Å, c = 6.8667 Å
α = 90.00°, β = 90.00°, γ = 90.00°
Sites, in units of the cell vectors:
Nd1 0.0000 0.0000 0.0000
Nd2 0.0000 0.5000 0.0130
Nd3 0.5000 0.2496 0.6480
Nd4 0.5000 0.7504 0.6480
Cl1 0.0000 0.0000 0.4507
Cl2 0.0000 0.5000 0.4679
Cl3 0.5000 0.2542 0.1958
Cl4 0.5000 0.7458 0.1958
O1 0.0000 0.2567 0.8274
O2 0.0000 0.7433 0.8274
O3 0.5000 0.0000 0.8259